Nd12Co5Bi: simulated X-ray powder pattern (Cu Kα X-rays), based on DFT lattice parameters and positions (PBE).
Intensities are scaled so that the largest is 100.

Largest 10 diffraction maxima, in order of falling intensity, 2θ from 15° to 90°:
| two_theta | d_spacing | I_rel | (hkl) |
| --- | --- | --- | --- |
| 31.1 | 2.877 | 100 | 2 2 2 |
| 33.3 | 2.689 | 60 | 2 1 3 |
| 33.6 | 2.665 | 55 | 1 3 2 |
| 34.0 | 2.638 | 49 | 3 2 1 |
| 28.7 | 3.107 | 35 | 3 1 0 |
| 28.4 | 3.138 | 32 | 0 3 1 |
| 27.8 | 3.212 | 31 | 1 0 3 |
| 57.5 | 1.602 | 30 | 5 3 2 |
| 56.3 | 1.634 | 26 | 6 0 0 |
| 53.9 | 1.700 | 24 | 0 0 6 |

Crystal structure
abc: 9.817 9.893 10.195
angles: 90.00 90.00 90.00
Space group Immm (No. 71)
One atom of each set of equivalent atoms:
Nd (0.000, 0.191, 0.196) [8 per cell]
Nd (0.190, 0.500, 0.188) [8 per cell]
Nd (0.202, 0.315, 0.500) [8 per cell]
Co (0.000, 0.000, 0.000) [2 per cell]
Co (0.000, 0.382, 0.000) [4 per cell]
Co (0.000, 0.500, 0.390) [4 per cell]
Bi (0.000, 0.000, 0.500) [2 per cell]